Entry 1:
# AcBiPbN
Computed powder XRD pattern, Cu Kα, 1.54184 Å. Input: a crystal structure in Alexandria, relaxed with PBE.

Crystal structure
abc: 7.948 7.948 7.948
angles: 152.31 152.31 39.57
Atoms (fractional coordinates):
Ac 0.000 0.000 0.000
Bi 0.335 0.335 0.000
Pb 0.677 0.677 0.000
N 0.504 0.504 0.000

Top 8 peaks for 2θ = 10–90°, in order of rising 2θ:
- 2θ 29.53, d 3.024, intensity 100.0
- 2θ 33.31, d 2.690, intensity 40.5
- 2θ 36.03, d 2.493, intensity 16.0
- 2θ 47.82, d 1.902, intensity 15.0
- 2θ 49.87, d 1.829, intensity 25.8
- 2θ 57.21, d 1.610, intensity 33.0
- 2θ 60.82, d 1.523, intensity 13.0
- 2θ 61.30, d 1.512, intensity 14.1

=====

Entry 2:
# AcHg6Pb23
Computed powder XRD pattern, Cu Kα, 1.54184 Å. Input: a crystal structure in Alexandria, relaxed with PBE.

Crystal structure
abc: 10.808 10.808 10.808
angles: 114.34 114.34 100.11
Atoms (fractional coordinates):
Ac 0.000 0.000 0.000
Hg 0.244 0.244 0.488
Hg 0.244 0.756 0.000
Hg 0.245 0.245 0.000
Hg 0.755 0.755 0.000
Hg 0.756 0.244 0.000
Hg 0.756 0.756 0.512
Pb 0.000 0.000 0.500
Pb 0.000 0.500 0.000
Pb 0.000 0.500 0.500
Pb 0.126 0.377 0.749
Pb 0.128 0.398 0.270
Pb 0.128 0.858 0.730
Pb 0.142 0.872 0.270
Pb 0.371 0.623 0.749
Pb 0.377 0.126 0.749
Pb 0.377 0.629 0.251
Pb 0.398 0.128 0.270
Pb 0.500 0.000 0.000
Pb 0.500 0.000 0.500
Pb 0.500 0.500 0.000
Pb 0.500 0.500 0.500
Pb 0.602 0.872 0.730
Pb 0.623 0.371 0.749
Pb 0.623 0.874 0.251
Pb 0.629 0.377 0.251
Pb 0.858 0.128 0.730
Pb 0.872 0.142 0.270
Pb 0.872 0.602 0.730
Pb 0.874 0.623 0.251

Top 8 peaks for 2θ = 10–90°, in order of rising 2θ:
- 2θ 30.51, d 2.930, intensity 63.5
- 2θ 33.69, d 2.660, intensity 100.0
- 2θ 43.69, d 2.072, intensity 23.5
- 2θ 56.29, d 1.634, intensity 44.3
- 2θ 62.19, d 1.493, intensity 17.4
- 2θ 70.85, d 1.330, intensity 11.6
- 2θ 72.09, d 1.310, intensity 10.0
- 2θ 89.94, d 1.091, intensity 11.7